Starting from a crystal structure in Alexandria, relaxed with GGA-PBE, the X-ray powder pattern of CsScInF6 was calculated for Cu Kα.
Neutral-atom scattering factors, no anomalous dispersion.

Top 10 peaks for 5 to 70 degrees two-theta, by angle:
- d = 3.985 Å, 22.31°, rel. 1000, (1 1 1)
- d = 3.075 Å, 29.04°, rel. 70, (0 0 2)
- d = 3.020 Å, 29.58°, rel. 275, (2 1 0)
- d = 2.407 Å, 37.36°, rel. 208, (0 2 1)
- d = 2.155 Å, 41.93°, rel. 396, (1 2 2)
- d = 1.909 Å, 47.64°, rel. 106, (1 1 3)
- d = 1.883 Å, 48.34°, rel. 195, (2 3 1)
- d = 1.744 Å, 52.48°, rel. 114, (3 3 0)
- d = 1.614 Å, 57.08°, rel. 94, (0 2 3)
- d = 1.423 Å, 65.59°, rel. 75, (-2 1 3)

Structural model:
```
data_CsScInF6
_chemical_formula_sum 'Cs1 Sc1 In1 F6'
_symmetry_space_group_name_H-M 'P 1'
_symmetry_Int_Tables_number 1
_cell_length_a 6.0335
_cell_length_b 6.0422
_cell_length_c 6.1506
_cell_angle_alpha 89.97
_cell_angle_beta 89.92
_cell_angle_gamma 60.06
loop_
_symmetry_equiv_pos_as_xyz
'x,y,z'
loop_
_atom_site_label
_atom_site_fract_x
_atom_site_fract_y
_atom_site_fract_z
_atom_site_occupancy
Cs1 0.0000 0.0000 0.0000 1
Sc1 0.6666 0.6668 0.5020 1
In1 0.3335 0.3330 0.5000 1
F1 0.4064 0.9639 0.3147 1
F2 0.4089 0.6238 0.6894 1
F3 0.6239 0.9666 0.6894 1
F4 0.6298 0.4063 0.3147 1
F5 0.9648 0.6294 0.3146 1
F6 0.9664 0.4096 0.6896 1
```

Starting from a crystal structure in Alexandria, relaxed with GGA-PBE, the X-ray powder pattern of IF was calculated for Cu Kα.
Neutral-atom scattering factors, no anomalous dispersion.

Top 10 peaks for 5 to 70 degrees two-theta, by angle:
- d = 5.646 Å, 15.70°, rel. 272, (1 0 1)
- d = 4.630 Å, 19.17°, rel. 207, (1 1 1)
- d = 4.031 Å, 22.05°, rel. 744, (0 2 0)
- d = 3.932 Å, 22.62°, rel. 188, (2 0 0)
- d = 3.634 Å, 24.50°, rel. 1000, (0 1 2)
- d = 3.283 Å, 27.16°, rel. 141, (1 2 1)
- d = 2.493 Å, 36.03°, rel. 404, (3 1 0)
- d = 2.243 Å, 40.21°, rel. 239, (0 3 2)
- d = 2.204 Å, 40.95°, rel. 192, (3 0 2)
- d = 1.934 Å, 46.99°, rel. 254, (3 2 2)

Structural model:
```
data_IF
_chemical_formula_sum 'I8 F8'
_symmetry_space_group_name_H-M 'P 21 21 21'
_symmetry_Int_Tables_number 19
_cell_length_a 7.8631
_cell_length_b 8.0626
_cell_length_c 8.1410
_cell_angle_alpha 90.00
_cell_angle_beta 90.00
_cell_angle_gamma 90.00
loop_
_symmetry_equiv_pos_as_xyz
'x,y,z'
'-x+1/2,-y,z+1/2'
'x+1/2,-y+1/2,-z'
'-x,y+1/2,-z+1/2'
loop_
_atom_site_label
_atom_site_fract_x
_atom_site_fract_y
_atom_site_fract_z
_atom_site_occupancy
I1 0.1185 0.0348 0.3850 1
I2 0.2424 0.5031 0.1493 1
F1 0.1234 0.9369 0.9092 1
F2 0.2309 0.6008 0.4023 1
```